Theoretical powder X-ray diffraction pattern
Compound: Ac7Pr3Nd
Radiation: Cu Ka
Structure: DFT lattice parameters and positions (GGA-PBE)
Lines closer than 0.1° are merged.

Atomic structure:
```
data_Ac7Pr3Nd
_symmetry_space_group_name_H-M 'P -1'
_symmetry_Int_Tables_number 2
_symmetry_space_group_name_Hall '-P 1'
_cell_length_a 7.0340
_cell_length_b 7.3305
_cell_length_c 9.3825
_cell_angle_alpha 100.61
_cell_angle_beta 96.95
_cell_angle_gamma 97.63
loop_
_atom_site_label
_atom_site_type_symbol
_atom_site_fract_x
_atom_site_fract_y
_atom_site_fract_z
_atom_site_occupancy
Ac1 Ac 0.0000 0.0000 0.0000 1
Ac2 Ac 0.0663 0.2220 0.6460 1
Ac3 Ac 0.3174 0.4314 0.3287 1
Ac4 Ac 0.4990 0.2324 0.9224 1
Pr1 Pr 0.2138 0.7391 0.7063 1
Pr2 Pr 0.5000 0.0000 0.5000 1
Nd1 Nd 0.0000 0.5000 0.0000 1
```

Principal peaks in the range 2θ = 10–90°, in order of falling intensity:
| d/Å | 2θ (°) | intensity | index |
| --- | --- | --- | --- |
| 3.044 | 29.34 | 100 | 1 2 -1 |
| 3.058 | 29.21 | 72 | -1 2 1 |
| 3.072 | 29.07 | 71 | 2 0 1 |
| 2.971 | 30.07 | 66 | 2 0 -2 |
| 2.919 | 30.63 | 41 | 1 1 2 |
| 2.891 | 30.93 | 36 | 1 -2 2 |
| 3.026 | 29.51 | 30 | 0 1 -3 |
| 3.312 | 26.92 | 23 | 1 -2 1 |
| 3.692 | 24.10 | 21 | 1 1 -2 |
| 1.847 | 49.34 | 18 | 2 2 -4 |
| 2.089 | 43.31 | 18 | 3 -2 0 |
| 1.778 | 51.38 | 15 | 0 4 0 |

=====

Theoretical powder X-ray diffraction pattern
Compound: Ac2PrNd4
Radiation: Cu Ka
Structure: DFT lattice parameters and positions (GGA-PBE)
Lines closer than 0.1° are merged.

Atomic structure:
```
data_Ac2PrNd4
_symmetry_space_group_name_H-M 'P 1'
_symmetry_Int_Tables_number 1
_symmetry_space_group_name_Hall 'P 1'
_cell_length_a 6.6010
_cell_length_b 8.9779
_cell_length_c 9.7427
_cell_angle_alpha 93.67
_cell_angle_beta 90.16
_cell_angle_gamma 111.37
loop_
_atom_site_label
_atom_site_type_symbol
_atom_site_fract_x
_atom_site_fract_y
_atom_site_fract_z
_atom_site_occupancy
Ac1 Ac 0.0000 0.0000 0.0000 1
Ac2 Ac 0.0415 0.4396 0.0613 1
Ac3 Ac 0.3233 0.0051 0.4816 1
Ac4 Ac 0.7527 0.8615 0.6384 1
Pr1 Pr 0.2753 0.5692 0.4196 1
Pr2 Pr 0.5598 0.1504 0.8471 1
Nd1 Nd 0.1412 0.2965 0.7013 1
Nd2 Nd 0.1826 0.7160 0.7755 1
Nd3 Nd 0.4341 0.8644 0.1299 1
Nd4 Nd 0.4773 0.2958 0.2077 1
Nd5 Nd 0.6050 0.5699 0.9183 1
Nd6 Nd 0.7137 0.4349 0.5638 1
Nd7 Nd 0.8383 0.7156 0.2783 1
Nd8 Nd 0.8918 0.1510 0.3515 1
```

Principal peaks in the range 2θ = 10–90°, in order of falling intensity:
| d/Å | 2θ (°) | intensity | index |
| --- | --- | --- | --- |
| 2.903 | 30.80 | 100 | 2 0 1 |
| 2.893 | 30.91 | 47 | 1 -3 1 |
| 3.061 | 29.18 | 38 | 0 2 2 |
| 1.735 | 52.75 | 22 | -2 4 3 |
| 3.297 | 27.04 | 22 | 1 1 -2 |
| 1.614 | 57.08 | 17 | 3 -5 0 |
| 2.243 | 40.20 | 15 | 1 3 0 |
| 3.282 | 27.17 | 13 | 1 -2 2 |
| 1.618 | 56.89 | 12 | -3 2 4 |
| 1.733 | 52.83 | 10 | -1 5 1 |
| 1.907 | 47.69 | 10 | 3 0 -2 |
| 1.900 | 47.89 | 10 | 3 -3 2 |

=====

Theoretical powder X-ray diffraction pattern
Compound: Ac7PrNd3
Radiation: Cu Ka
Structure: DFT lattice parameters and positions (GGA-PBE)
Lines closer than 0.1° are merged.

Atomic structure:
```
data_Ac7PrNd3
_symmetry_space_group_name_H-M 'C 1 2/m 1'
_symmetry_Int_Tables_number 12
_symmetry_space_group_name_Hall '-C 2y'
_cell_length_a 12.4147
_cell_length_b 11.1858
_cell_length_c 6.9291
_cell_angle_alpha 90.00
_cell_angle_beta 97.01
_cell_angle_gamma 90.00
loop_
_atom_site_label
_atom_site_type_symbol
_atom_site_fract_x
_atom_site_fract_y
_atom_site_fract_z
_atom_site_occupancy
Ac1 Ac 0.0000 0.0000 0.0000 1
Ac2 Ac 0.2353 0.5000 0.2277 1
Ac3 Ac 0.2472 0.3283 0.7402 1
Pr1 Pr 0.0000 0.0000 0.5000 1
Nd1 Nd 0.0000 0.3356 0.0000 1
Nd2 Nd 0.0000 0.5000 0.5000 1
```

Principal peaks in the range 2θ = 10–90°, in order of falling intensity:
| d/Å | 2θ (°) | intensity | index |
| --- | --- | --- | --- |
| 3.123 | 28.58 | 100 | 1 3 1 |
| 3.172 | 28.13 | 71 | 2 0 -2 |
| 3.081 | 28.98 | 66 | 4 0 0 |
| 2.638 | 33.98 | 65 | 3 3 -1 |
| 2.858 | 31.30 | 51 | 2 0 2 |
| 1.865 | 48.82 | 32 | 0 6 0 |
| 1.961 | 46.31 | 27 | 1 3 -3 |
| 1.917 | 47.43 | 24 | 5 3 1 |
| 3.214 | 27.75 | 21 | 1 3 -1 |
| 1.607 | 57.33 | 20 | 2 6 -2 |
| 6.161 | 14.38 | 19 | 2 0 0 |
| 1.595 | 57.81 | 19 | 4 6 0 |

=====

Theoretical powder X-ray diffraction pattern
Compound: Ac5Pr4Nd
Radiation: Cu Ka
Structure: DFT lattice parameters and positions (GGA-PBE)
Lines closer than 0.1° are merged.

Atomic structure:
```
data_Ac5Pr4Nd
_symmetry_space_group_name_H-M 'C 1 2/m 1'
_symmetry_Int_Tables_number 12
_symmetry_space_group_name_Hall '-C 2y'
_cell_length_a 19.5754
_cell_length_b 5.5119
_cell_length_c 7.6376
_cell_angle_alpha 90.00
_cell_angle_beta 102.98
_cell_angle_gamma 90.00
loop_
_atom_site_label
_atom_site_type_symbol
_atom_site_fract_x
_atom_site_fract_y
_atom_site_fract_z
_atom_site_occupancy
Ac1 Ac 0.0000 0.0000 0.0000 1
Ac2 Ac 0.0998 0.5000 0.7991 1
Ac3 Ac 0.1998 0.0000 0.5997 1
Pr1 Pr 0.0999 0.5000 0.2998 1
Pr2 Pr 0.2001 0.0000 0.0998 1
Nd1 Nd 0.0000 0.0000 0.5000 1
```

Principal peaks in the range 2θ = 10–90°, in order of falling intensity:
| d/Å | 2θ (°) | intensity | index |
| --- | --- | --- | --- |
| 3.137 | 28.45 | 100 | 5 1 0 |
| 2.756 | 32.49 | 18 | 0 2 0 |
| 2.740 | 32.68 | 17 | 6 0 -2 |
| 2.658 | 33.72 | 16 | 4 0 2 |
| 1.655 | 55.51 | 16 | 5 3 0 |
| 1.649 | 55.76 | 16 | 11 1 -2 |
| 1.612 | 57.12 | 15 | 9 1 2 |
| 1.569 | 58.87 | 13 | 10 2 0 |
| 1.943 | 46.75 | 13 | 6 2 -2 |
| 1.913 | 47.52 | 12 | 4 2 2 |
| 1.908 | 47.66 | 12 | 10 0 0 |
| 1.259 | 75.55 | 7 | 11 3 -2 |

=====

Theoretical powder X-ray diffraction pattern
Compound: Ac3Pr5Nd4
Radiation: Cu Ka
Structure: DFT lattice parameters and positions (GGA-PBE)
Lines closer than 0.1° are merged.

Atomic structure:
```
data_Ac3Pr5Nd4
_symmetry_space_group_name_H-M 'P -1'
_symmetry_Int_Tables_number 2
_symmetry_space_group_name_Hall '-P 1'
_cell_length_a 6.5984
_cell_length_b 7.6082
_cell_length_c 9.3746
_cell_angle_alpha 89.97
_cell_angle_beta 76.46
_cell_angle_gamma 89.95
loop_
_atom_site_label
_atom_site_type_symbol
_atom_site_fract_x
_atom_site_fract_y
_atom_site_fract_z
_atom_site_occupancy
Ac1 Ac 0.0000 0.0000 0.0000 1
Ac2 Ac 0.5002 0.2516 0.0003 1
Pr1 Pr 0.0000 0.5000 0.0000 1
Pr2 Pr 0.2162 0.5002 0.3354 1
Pr3 Pr 0.2801 0.2523 0.6628 1
Nd1 Nd 0.2209 0.0002 0.3384 1
Nd2 Nd 0.2795 0.7477 0.6633 1
```

Principal peaks in the range 2θ = 10–90°, in order of falling intensity:
| d/Å | 2θ (°) | intensity | index |
| --- | --- | --- | --- |
| 2.970 | 30.09 | 100 | 2 0 2 |
| 2.823 | 31.69 | 93 | 2 0 -1 |
| 3.038 | 29.40 | 49 | 0 0 3 |
| 3.273 | 27.25 | 48 | 1 -2 0 |
| 1.613 | 57.10 | 46 | 3 2 4 |
| 1.903 | 47.78 | 39 | 3 2 1 |
| 1.680 | 54.62 | 21 | 2 0 -4 |
| 1.773 | 51.54 | 21 | 2 0 5 |
| 2.373 | 37.92 | 17 | 1 -2 3 |
| 2.105 | 42.98 | 16 | -1 2 3 |
| 1.578 | 58.48 | 16 | -2 4 1 |
| 1.188 | 80.96 | 11 | 3 2 7 |

=====

Theoretical powder X-ray diffraction pattern
Compound: Ac2Pr6Nd
Radiation: Cu Ka
Structure: DFT lattice parameters and positions (GGA-PBE)
Lines closer than 0.1° are merged.

Atomic structure:
```
data_Ac2Pr6Nd
_symmetry_space_group_name_H-M 'C 1 2/c 1'
_symmetry_Int_Tables_number 15
_symmetry_space_group_name_Hall '-C 2yc'
_cell_length_a 15.7758
_cell_length_b 10.3606
_cell_length_c 9.4111
_cell_angle_alpha 90.00
_cell_angle_beta 117.63
_cell_angle_gamma 90.00
loop_
_atom_site_label
_atom_site_type_symbol
_atom_site_fract_x
_atom_site_fract_y
_atom_site_fract_z
_atom_site_occupancy
Ac1 Ac 0.0913 0.0841 0.1752 1
Pr1 Pr 0.0819 0.4243 0.1664 1
Pr2 Pr 0.1653 0.2518 0.5822 1
Pr3 Pr 0.2402 0.4121 0.9904 1
Nd1 Nd 0.0000 0.2518 0.7500 1
```

Principal peaks in the range 2θ = 10–90°, in order of falling intensity:
| d/Å | 2θ (°) | intensity | index |
| --- | --- | --- | --- |
| 2.995 | 29.83 | 100 | 1 3 1 |
| 2.973 | 30.06 | 59 | 4 2 -2 |
| 3.017 | 29.61 | 36 | 2 0 2 |
| 1.739 | 52.64 | 20 | 3 3 3 |
| 1.551 | 59.61 | 15 | 6 0 -6 |
| 1.727 | 53.04 | 13 | 0 6 0 |
| 1.724 | 53.12 | 12 | 3 5 -3 |
| 1.731 | 52.90 | 12 | 1 1 -5 |
| 2.112 | 42.82 | 11 | 2 2 -4 |
| 2.124 | 42.55 | 11 | 6 2 0 |
| 2.109 | 42.88 | 11 | 4 4 -2 |
| 1.252 | 76.03 | 10 | 5 3 -7 |

=====

Theoretical powder X-ray diffraction pattern
Compound: AcPr8Nd5
Radiation: Cu Ka
Structure: DFT lattice parameters and positions (GGA-PBE)
Lines closer than 0.1° are merged.

Atomic structure:
```
data_AcPr8Nd5
_symmetry_space_group_name_H-M 'I -4'
_symmetry_Int_Tables_number 82
_symmetry_space_group_name_Hall 'I -4'
_cell_length_a 9.9276
_cell_length_b 9.9276
_cell_length_c 10.6500
_cell_angle_alpha 90.00
_cell_angle_beta 90.00
_cell_angle_gamma 90.00
loop_
_atom_site_label
_atom_site_type_symbol
_atom_site_fract_x
_atom_site_fract_y
_atom_site_fract_z
_atom_site_occupancy
Ac1 Ac 0.0000 0.0000 0.0000 1
Pr1 Pr 0.0741 0.1781 0.6438 1
Pr2 Pr 0.0874 0.3283 0.9974 1
Nd1 Nd 0.0000 0.5000 0.7500 1
Nd2 Nd 0.1125 0.2917 0.3213 1
```

Principal peaks in the range 2θ = 10–90°, in order of falling intensity:
| d/Å | 2θ (°) | intensity | index |
| --- | --- | --- | --- |
| 2.773 | 32.29 | 100 | 2 1 3 |
| 3.139 | 28.43 | 79 | 1 3 0 |
| 3.160 | 28.24 | 76 | 3 0 1 |
| 3.343 | 26.67 | 66 | 1 0 3 |
| 2.666 | 33.62 | 61 | 3 2 1 |
| 2.704 | 33.13 | 51 | 1 3 2 |
| 2.931 | 30.50 | 24 | 2 2 2 |
| 1.705 | 53.77 | 23 | 4 2 4 |
| 1.545 | 59.86 | 23 | 1 3 6 |
| 4.098 | 21.69 | 21 | 1 2 1 |
| 1.570 | 58.82 | 19 | 2 6 0 |
| 1.829 | 49.87 | 18 | 1 5 2 |

=====

Theoretical powder X-ray diffraction pattern
Compound: Ac7PrNd4
Radiation: Cu Ka
Structure: DFT lattice parameters and positions (GGA-PBE)
Lines closer than 0.1° are merged.

Atomic structure:
```
data_Ac7PrNd4
_symmetry_space_group_name_H-M 'P -1'
_symmetry_Int_Tables_number 2
_symmetry_space_group_name_Hall '-P 1'
_cell_length_a 6.7568
_cell_length_b 7.7503
_cell_length_c 9.6589
_cell_angle_alpha 89.69
_cell_angle_beta 76.73
_cell_angle_gamma 89.94
loop_
_atom_site_label
_atom_site_type_symbol
_atom_site_fract_x
_atom_site_fract_y
_atom_site_fract_z
_atom_site_occupancy
Ac1 Ac 0.0000 0.0000 0.0000 1
Ac2 Ac 0.2203 0.4996 0.3320 1
Ac3 Ac 0.2820 0.7554 0.6629 1
Ac4 Ac 0.4975 0.2484 0.9957 1
Pr1 Pr 0.0000 0.5000 0.0000 1
Nd1 Nd 0.2178 0.0001 0.3340 1
Nd2 Nd 0.2739 0.2481 0.6682 1
```

Principal peaks in the range 2θ = 10–90°, in order of falling intensity:
| d/Å | 2θ (°) | intensity | index |
| --- | --- | --- | --- |
| 3.042 | 29.36 | 100 | 2 0 2 |
| 3.134 | 28.48 | 74 | 0 0 3 |
| 3.032 | 29.46 | 49 | 1 2 -1 |
| 2.903 | 30.80 | 45 | 2 0 -1 |
| 2.878 | 31.07 | 43 | 1 -2 2 |
| 2.892 | 30.92 | 43 | 1 2 2 |
| 3.339 | 26.70 | 39 | 1 2 0 |
| 1.947 | 46.64 | 39 | 3 -2 1 |
| 1.654 | 55.55 | 24 | 3 2 4 |
| 1.822 | 50.08 | 23 | 2 0 5 |
| 1.644 | 55.93 | 19 | 0 4 -3 |
| 1.938 | 46.89 | 19 | 0 4 0 |

=====

Theoretical powder X-ray diffraction pattern
Compound: AcPr10Nd6
Radiation: Cu Ka
Structure: DFT lattice parameters and positions (GGA-PBE)
Lines closer than 0.1° are merged.

Atomic structure:
```
data_AcPr10Nd6
_symmetry_space_group_name_H-M 'P -3 1 m'
_symmetry_Int_Tables_number 162
_symmetry_space_group_name_Hall '-P 3 2'
_cell_length_a 10.0844
_cell_length_b 10.0844
_cell_length_c 7.1270
_cell_angle_alpha 90.00
_cell_angle_beta 90.00
_cell_angle_gamma 120.00
loop_
_atom_site_label
_atom_site_type_symbol
_atom_site_fract_x
_atom_site_fract_y
_atom_site_fract_z
_atom_site_occupancy
Ac1 Ac 0.0000 0.0000 0.0000 1
Pr1 Pr 0.0000 0.2788 0.3260 1
Pr2 Pr 0.3333 0.6667 0.0000 1
Pr3 Pr 0.3333 0.6667 0.5000 1
Nd1 Nd 0.0000 0.3729 0.8093 1
```

Principal peaks in the range 2θ = 10–90°, in order of falling intensity:
| d/Å | 2θ (°) | intensity | index |
| --- | --- | --- | --- |
| 2.911 | 30.72 | 100 | 1 1 2 |
| 1.680 | 54.62 | 25 | 2 -1 4 |
| 2.995 | 29.83 | 22 | 3 -1 1 |
| 2.058 | 44.00 | 15 | 4 -2 2 |
| 1.608 | 57.31 | 10 | 4 0 3 |
| 1.929 | 47.12 | 8 | 3 2 1 |
| 2.293 | 39.29 | 8 | 4 -1 1 |
| 1.532 | 60.43 | 7 | 6 -1 1 |
| 3.723 | 23.90 | 7 | 2 0 1 |
| 1.302 | 72.64 | 7 | 5 -1 4 |
| 1.696 | 54.07 | 7 | 4 -1 3 |
| 1.100 | 88.99 | 7 | 3 0 6 |

=====

Theoretical powder X-ray diffraction pattern
Compound: AcPr5Nd4
Radiation: Cu Ka
Structure: DFT lattice parameters and positions (GGA-PBE)
Lines closer than 0.1° are merged.

Atomic structure:
```
data_AcPr5Nd4
_symmetry_space_group_name_H-M 'P 4/m m m'
_symmetry_Int_Tables_number 123
_symmetry_space_group_name_Hall '-P 4 2'
_cell_length_a 3.7480
_cell_length_b 3.7480
_cell_length_c 26.2329
_cell_angle_alpha 90.00
_cell_angle_beta 90.00
_cell_angle_gamma 90.00
loop_
_atom_site_label
_atom_site_type_symbol
_atom_site_fract_x
_atom_site_fract_y
_atom_site_fract_z
_atom_site_occupancy
Ac1 Ac 0.0000 0.0000 0.0000 1
Pr1 Pr 0.5000 0.5000 0.1065 1
Pr2 Pr 0.5000 0.5000 0.3032 1
Pr3 Pr 0.5000 0.5000 0.5000 1
Nd1 Nd 0.0000 0.0000 0.2047 1
Nd2 Nd 0.0000 0.0000 0.4014 1
```

Principal peaks in the range 2θ = 10–90°, in order of falling intensity:
| d/Å | 2θ (°) | intensity | index |
| --- | --- | --- | --- |
| 3.050 | 29.28 | 100 | 1 0 5 |
| 2.650 | 33.82 | 35 | 1 1 0 |
| 1.597 | 57.74 | 30 | 2 1 5 |
| 1.864 | 48.85 | 23 | 1 1 10 |
| 2.623 | 34.18 | 16 | 0 0 10 |
| 1.585 | 58.21 | 13 | 1 0 15 |
| 1.874 | 48.58 | 13 | 2 0 0 |
| 1.525 | 60.74 | 12 | 2 0 10 |
| 1.210 | 79.15 | 11 | 2 1 15 |
| 1.215 | 78.74 | 6 | 3 0 5 |
| 1.185 | 81.15 | 6 | 3 1 0 |
| 1.183 | 81.35 | 5 | 2 2 10 |

=====

Theoretical powder X-ray diffraction pattern
Compound: Ac4PrNd8
Radiation: Cu Ka
Structure: DFT lattice parameters and positions (GGA-PBE)
Lines closer than 0.1° are merged.

Atomic structure:
```
data_Ac4PrNd8
_symmetry_space_group_name_H-M 'R -3 m'
_symmetry_Int_Tables_number 166
_symmetry_space_group_name_Hall '-R 3 2"'
_cell_length_a 11.7648
_cell_length_b 11.7648
_cell_length_c 13.9322
_cell_angle_alpha 90.00
_cell_angle_beta 90.00
_cell_angle_gamma 120.00
loop_
_atom_site_label
_atom_site_type_symbol
_atom_site_fract_x
_atom_site_fract_y
_atom_site_fract_z
_atom_site_occupancy
Ac1 Ac 0.0000 0.0000 0.0000 1
Ac2 Ac 0.0000 0.5000 0.0000 1
Pr1 Pr 0.0000 0.0000 0.5000 1
Nd1 Nd 0.0000 0.0000 0.2407 1
Nd2 Nd 0.0089 0.5045 0.7403 1
```

Principal peaks in the range 2θ = 10–90°, in order of falling intensity:
| d/Å | 2θ (°) | intensity | index |
| --- | --- | --- | --- |
| 2.941 | 30.39 | 100 | 2 2 0 |
| 2.875 | 31.11 | 92 | 0 2 4 |
| 1.685 | 54.45 | 38 | 2 4 4 |
| 2.056 | 44.04 | 35 | 4 0 4 |
| 4.784 | 18.54 | 34 | 0 2 1 |
| 1.698 | 54.00 | 20 | 6 0 0 |
| 2.485 | 36.15 | 19 | 2 2 3 |
| 1.309 | 72.15 | 16 | 6 2 4 |
| 1.648 | 55.79 | 16 | 2 0 8 |
| 4.644 | 19.11 | 15 | 0 0 3 |
| 1.292 | 73.29 | 14 | 4 2 8 |
| 1.471 | 63.23 | 12 | 4 4 0 |

=====

Theoretical powder X-ray diffraction pattern
Compound: Ac8PrNd5
Radiation: Cu Ka
Structure: DFT lattice parameters and positions (GGA-PBE)
Lines closer than 0.1° are merged.

Atomic structure:
```
data_Ac8PrNd5
_symmetry_space_group_name_H-M 'P 1'
_symmetry_Int_Tables_number 1
_symmetry_space_group_name_Hall 'P 1'
_cell_length_a 9.0804
_cell_length_b 9.0915
_cell_length_c 9.3267
_cell_angle_alpha 62.77
_cell_angle_beta 61.64
_cell_angle_gamma 86.87
loop_
_atom_site_label
_atom_site_type_symbol
_atom_site_fract_x
_atom_site_fract_y
_atom_site_fract_z
_atom_site_occupancy
Ac1 Ac 0.0000 0.0000 0.0000 1
Ac2 Ac 0.0719 0.6988 0.3791 1
Ac3 Ac 0.1923 0.1926 0.2124 1
Ac4 Ac 0.3211 0.6957 0.9212 1
Ac5 Ac 0.3951 0.3507 0.4289 1
Ac6 Ac 0.4920 0.8396 0.3189 1
Ac7 Ac 0.6043 0.5169 0.6420 1
Ac8 Ac 0.7967 0.7647 0.8382 1
Pr1 Pr 0.9086 0.2426 0.6197 1
Nd1 Nd 0.1284 0.4717 0.7896 1
Nd2 Nd 0.4757 0.0646 0.8826 1
Nd3 Nd 0.6917 0.2908 0.0230 1
Nd4 Nd 0.7158 0.0360 0.4514 1
Nd5 Nd 0.8733 0.4799 0.2198 1
```

Principal peaks in the range 2θ = 10–90°, in order of falling intensity:
| d/Å | 2θ (°) | intensity | index |
| --- | --- | --- | --- |
| 3.087 | 28.92 | 100 | 2 2 1 |
| 3.116 | 28.65 | 89 | 1 -2 1 |
| 3.065 | 29.14 | 87 | -2 1 1 |
| 2.912 | 30.71 | 72 | 0 3 2 |
| 2.927 | 30.54 | 65 | 3 0 2 |
| 3.034 | 29.44 | 58 | 1 1 3 |
| 1.716 | 53.40 | 27 | 5 2 3 |
| 2.304 | 39.10 | 27 | 1 1 -2 |
| 2.082 | 43.47 | 24 | 3 -3 0 |
| 2.048 | 44.23 | 22 | 3 3 4 |
| 1.811 | 50.38 | 21 | 4 1 0 |
| 3.015 | 29.63 | 16 | 2 1 3 |

=====

Theoretical powder X-ray diffraction pattern
Compound: AcPr4Nd6
Radiation: Cu Ka
Structure: DFT lattice parameters and positions (GGA-PBE)
Lines closer than 0.1° are merged.

Atomic structure:
```
data_AcPr4Nd6
_symmetry_space_group_name_H-M 'I -4 2 m'
_symmetry_Int_Tables_number 121
_symmetry_space_group_name_Hall 'I -4 2'
_cell_length_a 6.7944
_cell_length_b 6.7944
_cell_length_c 17.8745
_cell_angle_alpha 90.00
_cell_angle_beta 90.00
_cell_angle_gamma 90.00
loop_
_atom_site_label
_atom_site_type_symbol
_atom_site_fract_x
_atom_site_fract_y
_atom_site_fract_z
_atom_site_occupancy
Ac1 Ac 0.0000 0.0000 0.0000 1
Pr1 Pr 0.1915 0.1915 0.8183 1
Nd1 Nd 0.0000 0.5000 0.0000 1
Nd2 Nd 0.1792 0.1792 0.6266 1
```

Principal peaks in the range 2θ = 10–90°, in order of falling intensity:
| d/Å | 2θ (°) | intensity | index |
| --- | --- | --- | --- |
| 2.996 | 29.83 | 100 | 2 1 1 |
| 2.705 | 33.12 | 90 | 2 0 4 |
| 3.176 | 28.10 | 82 | 2 0 2 |
| 3.164 | 28.21 | 40 | 1 0 5 |
| 2.532 | 35.45 | 38 | 1 1 6 |
| 3.272 | 27.25 | 36 | 1 1 4 |
| 2.402 | 37.44 | 34 | 2 2 0 |
| 1.869 | 48.72 | 34 | 2 2 6 |
| 2.316 | 38.88 | 33 | 2 1 5 |
| 1.667 | 55.08 | 30 | 3 2 5 |
| 1.641 | 56.04 | 30 | 4 1 1 |
| 2.979 | 30.00 | 29 | 0 0 6 |